Simulated powder X-ray diffraction pattern
Compound: KH8WN2O3F3
Radiation: CuKα
Structure: a DFT-relaxed cell (GGA+U, Alexandria)
Intensities are scaled so that the largest is 100.

abc: 6.5378 6.4507 6.4661
angles: 60.81 59.48 59.71
Sites, in units of the cell vectors:
K: 0.0000 0.0000 0.0000
H: 0.0257 0.2609 0.4296
H: 0.2089 0.3361 0.1169
H: 0.2609 0.0257 0.2838
H: 0.3361 0.2089 0.3381
H: 0.5704 0.7162 0.9743
H: 0.6619 0.8831 0.6639
H: 0.7162 0.5704 0.7391
H: 0.8831 0.6619 0.7911
W: 0.4926 0.4926 0.5074
N: 0.2078 0.2078 0.2922
N: 0.7078 0.7078 0.7922
O: 0.2972 0.2972 0.7028
O: 0.3350 0.7327 0.2673
O: 0.7327 0.3350 0.6650
F: 0.2805 0.7213 0.7195
F: 0.7213 0.2805 0.2787
F: 0.7244 0.7244 0.2756

Principal peaks in the range 15 to 90 degrees two-theta, low angle first:
2θ 16.75, intensity 100.0
2θ 19.20, intensity 70.8
2θ 19.68, intensity 30.1
2θ 27.28, intensity 32.6
2θ 27.63, intensity 54.5
2θ 32.24, intensity 13.2
2θ 32.79, intensity 13.2
2θ 38.87, intensity 12.3
2θ 43.89, intensity 16.7
2θ 44.71, intensity 15.6



Simulated powder X-ray diffraction pattern
Compound: KH8WN2O3F3
Radiation: CuKα
Structure: a DFT-relaxed cell (GGA+U, Alexandria)
Intensities are scaled so that the largest is 100.

abc: 6.3019 6.4186 11.3601
angles: 90.00 123.36 90.00
Sites, in units of the cell vectors:
K: 0.0000 0.2391 0.0000
K: 0.0000 0.7609 0.5000
H: 0.0140 0.2052 0.7248
H: 0.0140 0.7948 0.2248
H: 0.2188 0.2470 0.6753
H: 0.2188 0.7530 0.1753
H: 0.2795 0.0429 0.7846
H: 0.2795 0.9571 0.2846
H: 0.3010 0.2991 0.8423
H: 0.3010 0.7009 0.3423
H: 0.5878 0.2375 0.2701
H: 0.5878 0.7625 0.7701
H: 0.7014 0.1808 0.1652
H: 0.7014 0.8192 0.6652
H: 0.7241 0.4304 0.2280
H: 0.7241 0.5696 0.7280
H: 0.9040 0.2356 0.3381
H: 0.9040 0.7644 0.8381
W: 0.5026 0.2812 0.5005
W: 0.5026 0.7188 0.0005
N: 0.2054 0.1977 0.7568
N: 0.2054 0.8023 0.2568
N: 0.7296 0.2706 0.2493
N: 0.7296 0.7294 0.7493
O: 0.3383 0.4767 0.9742
O: 0.3383 0.5233 0.4742
O: 0.3711 0.2022 0.3124
O: 0.3711 0.7978 0.8124
O: 0.7162 0.2849 0.6969
O: 0.7162 0.7151 0.1969
F: 0.2296 0.1187 0.4999
F: 0.2296 0.8813 0.9999
F: 0.6804 0.0221 0.0361
F: 0.6804 0.9779 0.5361
F: 0.7904 0.4093 0.4997
F: 0.7904 0.5907 0.9997

Principal peaks in the range 15 to 90 degrees two-theta, low angle first:
2θ 16.68, intensity 95.4
2θ 16.89, intensity 94.7
2θ 18.70, intensity 71.3
2θ 19.74, intensity 100.0
2θ 27.27, intensity 54.3
2θ 27.38, intensity 48.8
2θ 27.80, intensity 25.6
2θ 28.32, intensity 27.9
2θ 37.93, intensity 22.5
2θ 40.10, intensity 29.3



Simulated powder X-ray diffraction pattern
Compound: KH8WN2F6
Radiation: CuKα
Structure: a DFT-relaxed cell (GGA+U, Alexandria)
Intensities are scaled so that the largest is 100.

abc: 6.4878 6.4453 11.4326
angles: 90.00 123.81 90.00
Sites, in units of the cell vectors:
K: 0.0000 0.0000 0.0000
K: 0.0000 0.5000 0.5000
H: 0.0663 0.0275 0.7336
H: 0.0663 0.4725 0.2336
H: 0.2285 0.0363 0.6570
H: 0.2285 0.4637 0.1570
H: 0.2557 0.6690 0.2604
H: 0.2557 0.8310 0.7604
H: 0.3808 0.0683 0.8341
H: 0.3808 0.4317 0.3341
H: 0.6192 0.5683 0.6659
H: 0.6192 0.9317 0.1659
H: 0.7443 0.1690 0.2396
H: 0.7443 0.3310 0.7396
H: 0.7715 0.5363 0.8430
H: 0.7715 0.9637 0.3430
H: 0.9337 0.5275 0.7664
H: 0.9337 0.9725 0.2664
W: 0.5000 0.0000 0.5000
W: 0.5000 0.5000 0.0000
N: 0.2340 0.5096 0.2464
N: 0.2340 0.9904 0.7464
N: 0.7660 0.0096 0.2536
N: 0.7660 0.4904 0.7536
F: 0.2171 0.5565 0.7829
F: 0.2171 0.9435 0.2829
F: 0.2440 0.1555 0.5290
F: 0.2440 0.3445 0.0290
F: 0.3891 0.7172 0.5443
F: 0.3891 0.7828 0.0443
F: 0.6109 0.2172 0.9557
F: 0.6109 0.2828 0.4557
F: 0.7560 0.6555 0.9710
F: 0.7560 0.8445 0.4710
F: 0.7829 0.0565 0.7171
F: 0.7829 0.4435 0.2171

Principal peaks in the range 15 to 90 degrees two-theta, low angle first:
2θ 16.44, intensity 31.4
2θ 16.63, intensity 100.0
2θ 18.68, intensity 46.3
2θ 19.41, intensity 77.3
2θ 26.94, intensity 37.5
2θ 27.20, intensity 38.0
2θ 27.68, intensity 21.3
2θ 39.41, intensity 25.5
2θ 44.15, intensity 22.2
2θ 48.55, intensity 21.2



Simulated powder X-ray diffraction pattern
Compound: KH8WN2F6
Radiation: CuKα
Structure: a DFT-relaxed cell (GGA+U, Alexandria)
Intensities are scaled so that the largest is 100.

abc: 6.5910 6.5910 6.5910
angles: 60.00 60.00 60.00
Sites, in units of the cell vectors:
K: 0.0000 0.0000 0.0000
H: 0.0582 0.3139 0.3139
H: 0.3139 0.0582 0.3139
H: 0.3139 0.3139 0.0582
H: 0.3139 0.3139 0.3139
H: 0.6861 0.6861 0.6861
H: 0.6861 0.6861 0.9418
H: 0.6861 0.9418 0.6861
H: 0.9418 0.6861 0.6861
W: 0.5000 0.5000 0.5000
N: 0.2500 0.2500 0.2500
N: 0.7500 0.7500 0.7500
F: 0.2742 0.2742 0.7258
F: 0.2742 0.7258 0.2742
F: 0.2742 0.7258 0.7258
F: 0.7258 0.2742 0.2742
F: 0.7258 0.2742 0.7258
F: 0.7258 0.7258 0.2742

Principal peaks in the range 15 to 90 degrees two-theta, low angle first:
2θ 16.47, intensity 90.5
2θ 19.04, intensity 100.0
2θ 27.06, intensity 82.8
2θ 31.84, intensity 38.9
2θ 38.64, intensity 41.9
2θ 43.42, intensity 49.7
2θ 47.80, intensity 30.0
2θ 50.90, intensity 21.2
2θ 55.79, intensity 24.9
2θ 59.50, intensity 24.1